Entry 1:
For PuZn4Ag4, DFT lattice parameters and positions (PBE) gives the computed powder diffractogram in this record (a wavelength of 1.5418 Å).
Peak positions follow from Bragg's law for the DFT cell and can differ from measured ones.

Structural model:
Lattice parameters (Å, degrees): 6.5039 6.5039 6.5039 97.49 97.49 137.67
Atoms (fractional coordinates):
Pu 0.0000 0.0000 0.0000
Zn 0.2829 0.3835 0.6664
Zn 0.3835 0.7171 0.1006
Zn 0.6165 0.2829 0.8994
Zn 0.7171 0.6165 0.3336
Ag 0.0889 0.6350 0.7240
Ag 0.3650 0.0889 0.4539
Ag 0.6350 0.9111 0.5461
Ag 0.9111 0.3650 0.2760

Most intense lines, 2θ = 5–70°, by intensity:
d (Å)	2θ/deg	I/Imax
2.122	42.60	100.0
2.442	36.80	77.6
2.971	30.08	71.5
2.712	33.02	63.4
2.348	38.33	51.4
1.775	51.47	35.6
1.682	54.55	21.6
1.367	68.63	21.4
1.351	69.61	18.4
4.289	20.71	17.9
4.119	21.57	17.7
1.373	68.31	12.3

Entry 2:
For Rb5Ag, DFT lattice parameters and positions (PBE) gives the computed powder diffractogram in this record (a wavelength of 1.5418 Å).
Peak positions follow from Bragg's law for the DFT cell and can differ from measured ones.

Structural model:
Lattice parameters (Å, degrees): 12.6504 12.6504 7.2190 90.00 90.00 156.89
Atoms (fractional coordinates):
Rb 0.0000 0.0000 0.0000
Rb 0.1067 0.8933 0.5000
Rb 0.3292 0.6708 0.0000
Rb 0.6708 0.3292 0.0000
Rb 0.8933 0.1067 0.5000
Ag 0.5000 0.5000 0.5000

Most intense lines, 2θ = 5–70°, by intensity:
d (Å)	2θ/deg	I/Imax
3.707	24.00	100.0
12.394	7.13	38.1
3.609	24.66	35.0
2.531	35.46	29.7
3.181	28.05	23.6
6.237	14.20	21.9
2.102	43.03	20.5
3.544	25.13	20.3
3.586	24.83	15.1
2.074	43.64	14.7
4.131	21.51	11.1
1.535	60.29	9.3

Entry 3:
For RbReAg2, DFT lattice parameters and positions (PBE) gives the computed powder diffractogram in this record (a wavelength of 1.5418 Å).
Peak positions follow from Bragg's law for the DFT cell and can differ from measured ones.

Structural model:
Lattice parameters (Å, degrees): 10.0992 10.0992 10.0992 148.59 148.59 45.02
Atoms (fractional coordinates):
Rb 0.3750 0.6250 0.7500
Rb 0.6250 0.3750 0.2500
Re 0.1250 0.8750 0.2500
Re 0.8750 0.1250 0.7500
Ag 0.0000 0.0000 0.0000
Ag 0.0000 0.0000 0.5000
Ag 0.0000 0.5000 0.0000
Ag 0.5000 0.0000 0.5000

Most intense lines, 2θ = 5–70°, by intensity:
d (Å)	2θ/deg	I/Imax
5.247	16.90	100.0
3.572	24.93	89.5
1.786	51.15	41.7
2.423	37.10	33.4
2.359	38.16	29.4
2.624	34.18	27.7
2.276	39.60	23.9
2.332	38.60	23.9
2.734	32.76	22.2
1.700	53.93	21.7
2.045	44.29	17.4
1.511	61.35	15.0

Entry 4:
For RbAg2Rh, DFT lattice parameters and positions (PBE) gives the computed powder diffractogram in this record (a wavelength of 1.5418 Å).
Peak positions follow from Bragg's law for the DFT cell and can differ from measured ones.

Structural model:
Lattice parameters (Å, degrees): 9.8266 9.8266 9.8266 147.86 147.86 46.10
Atoms (fractional coordinates):
Rb 0.3750 0.6250 0.7500
Rb 0.6250 0.3750 0.2500
Ag 0.0000 0.0000 0.0000
Ag 0.0000 0.0000 0.5000
Ag 0.0000 0.5000 0.0000
Ag 0.5000 0.0000 0.5000
Rh 0.1250 0.8750 0.2500
Rh 0.8750 0.1250 0.7500

Most intense lines, 2θ = 5–70°, by intensity:
d (Å)	2θ/deg	I/Imax
5.210	17.02	100.0
3.540	25.16	91.6
1.770	51.64	63.6
2.605	34.43	55.0
2.259	39.91	53.8
2.019	44.89	41.5
2.332	38.61	41.5
4.039	22.01	33.3
2.373	37.92	30.5
2.720	32.93	22.6
1.690	54.27	21.2
2.411	37.29	17.0

Entry 5:
For RbSi2AgRh, DFT lattice parameters and positions (PBE) gives the computed powder diffractogram in this record (a wavelength of 1.5418 Å).
Peak positions follow from Bragg's law for the DFT cell and can differ from measured ones.

Structural model:
Lattice parameters (Å, degrees): 5.4922 5.4922 4.8657 90.00 90.00 90.00
Atoms (fractional coordinates):
Rb 0.0000 0.0000 0.0000
Si 0.0000 0.5000 0.0000
Si 0.5000 0.0000 0.0000
Ag 0.5000 0.5000 0.5000
Rh 0.0000 0.0000 0.5000

Most intense lines, 2θ = 5–70°, by intensity:
d (Å)	2θ/deg	I/Imax
3.884	22.90	100.0
2.746	32.61	88.2
3.035	29.43	63.7
1.821	50.09	50.5
2.062	43.92	35.5
2.433	36.95	31.1
1.942	46.78	31.1
1.518	61.06	27.4
5.492	16.14	24.8
3.642	24.44	24.6
1.737	52.70	20.4
1.414	66.10	20.2

Entry 6:
For RbAg3Ru, DFT lattice parameters and positions (PBE) gives the computed powder diffractogram in this record (a wavelength of 1.5418 Å).
Peak positions follow from Bragg's law for the DFT cell and can differ from measured ones.

Structural model:
Lattice parameters (Å, degrees): 5.2565 5.2565 5.2565 90.00 90.00 90.00
Atoms (fractional coordinates):
Rb 0.0000 0.0000 0.0000
Ag 0.0000 0.5000 0.5000
Ag 0.5000 0.0000 0.5000
Ag 0.5000 0.5000 0.0000
Ru 0.5000 0.5000 0.5000

Most intense lines, 2θ = 5–70°, by intensity:
d (Å)	2θ/deg	I/Imax
2.628	34.11	100.0
3.035	29.43	73.5
1.858	49.02	69.3
5.257	16.87	34.8
1.585	58.21	29.5
1.517	61.07	23.2
2.351	38.29	17.4
3.717	23.94	10.9
1.752	52.21	8.6
2.146	42.11	4.7
1.458	63.85	3.6
1.405	66.56	2.5

Entry 7:
For Rb2AgS2, DFT lattice parameters and positions (PBE) gives the computed powder diffractogram in this record (a wavelength of 1.5418 Å).
Peak positions follow from Bragg's law for the DFT cell and can differ from measured ones.

Structural model:
Lattice parameters (Å, degrees): 7.9889 7.9889 10.3259 124.12 124.12 48.33
Atoms (fractional coordinates):
Rb 0.0582 0.0582 0.2778
Rb 0.3126 0.3126 0.9338
Rb 0.6874 0.6874 0.0662
Rb 0.9418 0.9418 0.7222
Ag 0.3703 0.3703 0.3757
Ag 0.6297 0.6297 0.6243
S 0.1879 0.1879 0.1105
S 0.4777 0.4777 0.6660
S 0.5223 0.5223 0.3340
S 0.8121 0.8121 0.8895

Most intense lines, 2θ = 5–70°, by intensity:
d (Å)	2θ/deg	I/Imax
3.270	27.27	100.0
3.923	22.67	95.8
5.514	16.07	70.6
3.176	28.10	36.1
3.620	24.59	34.2
2.643	33.91	33.6
3.306	26.97	33.5
3.859	23.05	32.2
2.056	44.05	31.4
2.278	39.56	28.2
7.241	12.22	26.8
1.984	45.73	26.8

Entry 8:
For Rb3Ag9Sb4S12, DFT lattice parameters and positions (PBE) gives the computed powder diffractogram in this record (a wavelength of 1.5418 Å).
Peak positions follow from Bragg's law for the DFT cell and can differ from measured ones.

Structural model:
Lattice parameters (Å, degrees): 9.8412 9.8412 9.8412 111.30 111.30 105.88
Atoms (fractional coordinates):
Rb 0.0000 0.0000 0.0000
Rb 0.3309 0.3309 0.0000
Rb 0.6691 0.6691 0.0000
Ag 0.0074 0.5118 0.1744
Ag 0.0111 0.5028 0.8536
Ag 0.1670 0.9926 0.5044
Ag 0.3374 0.8330 0.8256
Ag 0.4882 0.6626 0.4956
Ag 0.4972 0.3507 0.5083
Ag 0.6493 0.1576 0.1464
Ag 0.7500 0.2500 0.5000
Ag 0.8424 0.9889 0.4917
Sb 0.1363 0.3981 0.5108
Sb 0.3746 0.8637 0.2618
Sb 0.6019 0.1128 0.7382
Sb 0.8872 0.6254 0.4892
S 0.0914 0.7936 0.2069
S 0.1156 0.9086 0.7023
S 0.2064 0.4133 0.2977
S 0.3133 0.6706 0.9787
S 0.3294 0.3081 0.6427
S 0.4312 0.1098 0.2308
S 0.5867 0.8844 0.7931
S 0.6654 0.6867 0.3573
S 0.6919 0.3346 0.0213
S 0.7996 0.5688 0.6786
S 0.8790 0.2004 0.7692
S 0.8902 0.1210 0.3214

Most intense lines, 2θ = 5–70°, by intensity:
d (Å)	2θ/deg	I/Imax
3.093	28.86	100.0
3.512	25.36	43.6
2.226	40.52	24.3
7.853	11.27	22.9
1.829	49.87	22.6
2.981	29.97	17.8
1.723	53.16	16.9
2.627	34.13	15.4
2.430	36.99	11.8
1.977	45.90	11.6
2.617	34.26	11.5
2.045	44.30	10.7